(1)
For TbAl6Cu6, a structure optimized by DFT (PBE) gives the simulated powder XRD pattern in this record (Cu Kα).

Structural model:
```
data_TbAl6Cu6
_chemical_formula_sum 'Tb2 Al12 Cu12'
_cell_length_a 5.0768
_cell_length_b 8.5723
_cell_length_c 8.6889
_cell_angle_alpha 90.00
_cell_angle_beta 90.00
_cell_angle_gamma 90.00
_symmetry_space_group_name_H-M 'I m m m'
_symmetry_Int_Tables_number 71
_symmetry_space_group_name_Hall '-I 2 2'
loop_
_atom_site_label
_atom_site_type_symbol
_atom_site_fract_x
_atom_site_fract_y
_atom_site_fract_z
_atom_site_occupancy
Tb1 Tb 0.0000 0.0000 0.0000 1
Al1 Al 0.0000 0.0000 0.3492 1
Al2 Al 0.0000 0.3465 0.0000 1
Al3 Al 0.0000 0.5000 0.2944 1
Cu1 Cu 0.0000 0.2731 0.5000 1
Cu2 Cu 0.2500 0.2500 0.2500 1
```

Largest 8 diffraction maxima, in order of rising 2θ, 5° ≤ 2θ ≤ 70°:
| 2theta | d [Å] | I_rel | (hkl) |
| --- | --- | --- | --- |
| 14.52 | 6.102 | 48 | 0 1 1 |
| 29.14 | 3.065 | 59 | 1 2 1 |
| 41.19 | 2.192 | 73 | 2 0 2 |
| 41.34 | 2.184 | 35 | 2 2 0 |
| 41.61 | 2.171 | 100 | 0 0 4 |
| 41.81 | 2.160 | 39 | 1 3 2 |
| 42.17 | 2.143 | 41 | 0 4 0 |
| 46.54 | 1.951 | 35 | 2 2 2 |

=====

(2)
For BaMgAl3P2H2O14, a structure optimized by DFT (PBE) gives the simulated powder XRD pattern in this record (Cu Kα).

Structural model:
```
data_BaMgAl3P2H2O14
_chemical_formula_sum 'Ba2 Mg2 Al6 P4 H4 O28'
_cell_length_a 12.3556
_cell_length_b 6.9896
_cell_length_c 7.0301
_cell_angle_alpha 90.00
_cell_angle_beta 123.60
_cell_angle_gamma 90.00
_symmetry_space_group_name_H-M 'C 1 2 1'
_symmetry_Int_Tables_number 5
_symmetry_space_group_name_Hall 'C 2y'
loop_
_atom_site_label
_atom_site_type_symbol
_atom_site_fract_x
_atom_site_fract_y
_atom_site_fract_z
_atom_site_occupancy
Ba1 Ba 0.0000 0.0000 0.0000 1
Mg1 Mg 0.0000 0.4019 0.5000 1
Al1 Al 0.0000 0.9901 0.5000 1
Al2 Al 0.2479 0.2481 0.5029 1
P1 P 0.1999 0.4948 0.0872 1
H1 H 0.2079 0.5142 0.7071 1
O1 O 0.0825 0.1730 0.4282 1
O2 O 0.0874 0.8349 0.4180 1
O3 O 0.1176 0.4925 0.8259 1
O4 O 0.1529 0.9926 0.8230 1
O5 O 0.1706 0.3177 0.1864 1
O6 O 0.1728 0.6775 0.1817 1
O7 O 0.2115 0.5025 0.5692 1
```

Largest 8 diffraction maxima, in order of rising 2θ, 5° ≤ 2θ ≤ 70°:
| 2theta | d [Å] | I_rel | (hkl) |
| --- | --- | --- | --- |
| 15.34 | 5.775 | 100 | 1 1 0 |
| 25.11 | 3.546 | 65 | 3 1 -1 |
| 25.49 | 3.495 | 34 | 0 2 0 |
| 29.00 | 3.080 | 61 | 3 1 0 |
| 29.77 | 3.001 | 51 | 0 2 1 |
| 29.89 | 2.989 | 49 | 3 1 -2 |
| 38.55 | 2.336 | 37 | 1 1 2 |
| 47.75 | 1.905 | 39 | 3 3 -2 |

=====

(3)
For Ca2TlCd, a structure optimized by DFT (PBE) gives the simulated powder XRD pattern in this record (Cu Kα).

Structural model:
```
data_Ca2TlCd
_chemical_formula_sum 'Ca8 Tl4 Cd4'
_cell_length_a 7.7423
_cell_length_b 7.7423
_cell_length_c 7.7423
_cell_angle_alpha 90.00
_cell_angle_beta 90.00
_cell_angle_gamma 90.00
_symmetry_space_group_name_H-M 'F m -3 m'
_symmetry_Int_Tables_number 225
_symmetry_space_group_name_Hall '-F 4 2 3'
loop_
_atom_site_label
_atom_site_type_symbol
_atom_site_fract_x
_atom_site_fract_y
_atom_site_fract_z
_atom_site_occupancy
Ca1 Ca 0.2500 0.2500 0.2500 1
Tl1 Tl 0.0000 0.0000 0.0000 1
Cd1 Cd 0.0000 0.0000 0.5000 1
```

Largest 8 diffraction maxima, in order of rising 2θ, 5° ≤ 2θ ≤ 70°:
| 2theta | d [Å] | I_rel | (hkl) |
| --- | --- | --- | --- |
| 19.86 | 4.470 | 10 | 1 1 1 |
| 22.97 | 3.871 | 39 | 2 0 0 |
| 32.72 | 2.737 | 100 | 2 2 0 |
| 40.35 | 2.235 | 13 | 2 2 2 |
| 46.94 | 1.936 | 18 | 4 0 0 |
| 52.89 | 1.731 | 18 | 4 2 0 |
| 58.39 | 1.580 | 37 | 4 2 2 |
| 68.56 | 1.369 | 11 | 4 4 0 |

=====

(4)
For La2Si2O7, a structure optimized by DFT (PBE) gives the simulated powder XRD pattern in this record (Cu Kα).

Structural model:
```
data_La2Si2O7
_chemical_formula_sum 'La8 Si8 O28'
_cell_length_a 6.5347
_cell_length_b 8.5936
_cell_length_c 15.7455
_cell_angle_alpha 90.00
_cell_angle_beta 90.88
_cell_angle_gamma 90.00
_symmetry_space_group_name_H-M 'P 1 21/c 1'
_symmetry_Int_Tables_number 14
_symmetry_space_group_name_Hall '-P 2ybc'
loop_
_atom_site_label
_atom_site_type_symbol
_atom_site_fract_x
_atom_site_fract_y
_atom_site_fract_z
_atom_site_occupancy
La1 La 0.0742 0.2229 0.2755 1
La2 La 0.3213 0.5992 0.9156 1
Si1 Si 0.1584 0.0498 0.6217 1
Si2 Si 0.4002 0.5120 0.3011 1
O1 O 0.0347 0.0759 0.4012 1
O2 O 0.1787 0.5527 0.7324 1
O3 O 0.2370 0.5431 0.2191 1
O4 O 0.3485 0.0024 0.5577 1
O5 O 0.3503 0.1579 0.8381 1
O6 O 0.3775 0.0139 0.2622 1
O7 O 0.3929 0.6584 0.3638 1
```

Largest 8 diffraction maxima, in order of rising 2θ, 5° ≤ 2θ ≤ 70°:
| 2theta | d [Å] | I_rel | (hkl) |
| --- | --- | --- | --- |
| 11.24 | 7.872 | 54 | 0 0 2 |
| 11.73 | 7.543 | 100 | 0 1 1 |
| 17.51 | 5.066 | 65 | 1 0 -2 |
| 20.58 | 4.315 | 43 | 1 1 2 |
| 24.85 | 3.584 | 44 | 0 1 4 |
| 26.82 | 3.325 | 23 | 0 2 3 |
| 29.25 | 3.054 | 21 | 2 1 0 |
| 34.18 | 2.624 | 30 | 0 0 6 |